The following is a calculated powder X-ray diffraction pattern of Li4Mn3WO8. It was derived from the PBE+U geometry in the Materials Project, using CuKα.
Peak positions follow from Bragg's law for the DFT cell and can differ from measured ones.

Cell and atoms:
abc: 6.093 6.093 6.097
angles: 117.85 117.85 62.12
Sites, in units of the cell vectors:
Li: 0.000 0.000 0.000
Li: 0.000 0.500 0.500
Li: 0.500 0.000 0.500
Li: 0.500 0.500 0.000
Mn: 0.000 0.000 0.500
Mn: 0.000 0.499 0.999
Mn: 0.501 0.000 0.001
W: 0.500 0.500 0.500
O: 0.239 0.239 0.761
O: 0.274 0.274 0.285
O: 0.274 0.717 0.726
O: 0.283 0.726 0.274
O: 0.715 0.274 0.726
O: 0.726 0.285 0.274
O: 0.726 0.726 0.715
O: 0.761 0.761 0.239

Largest 6 diffraction maxima, by angle, 2θ from 10° to 90°:
| 2θ (°) | I_rel |
| --- | --- |
| 17.4 | 52 |
| 18.1 | 100 |
| 20.3 | 29 |
| 33.5 | 57 |
| 35.1 | 28 |
| 41.3 | 72 |